La7PbCl12: simulated X-ray powder pattern (a wavelength of 1.5418 Å), based on DFT lattice parameters and positions (GGA-PBE).

The 10 most intense peaks (10 to 90 degrees two-theta), sorted by position:
Position (°2θ), d (Å), Rel. int.
11.27, 7.850, 100
11.63, 7.609, 17
19.80, 4.484, 27
26.03, 3.424, 25
30.26, 2.953, 19
30.68, 2.914, 93
39.79, 2.265, 19
41.48, 2.177, 42
46.30, 1.961, 17
69.01, 1.361, 18

```
La7PbCl12
1.0
7.8496 4.5320 3.0605
-7.8496 4.5320 3.0605
0.0000 -9.0639 3.0605
La Pb Cl
7 1 12
Direct
0.0000 0.0000 0.0000 La
0.1183 0.3301 0.4290 La
0.3301 0.4290 0.1183 La
0.4290 0.1183 0.3301 La
0.5710 0.8817 0.6699 La
0.6699 0.5710 0.8817 La
0.8817 0.6699 0.5710 La
0.5000 0.5000 0.5000 Pb
0.0054 0.3333 0.1085 Cl
0.1085 0.0054 0.3333 Cl
0.2054 0.7015 0.5874 Cl
0.2985 0.4126 0.7946 Cl
0.3333 0.1085 0.0054 Cl
0.4126 0.7946 0.2985 Cl
0.5874 0.2054 0.7015 Cl
0.6667 0.8915 0.9946 Cl
0.7015 0.5874 0.2054 Cl
0.7946 0.2985 0.4126 Cl
0.8915 0.9946 0.6667 Cl
0.9946 0.6667 0.8915 Cl
```

=====

La2Pr4Pb3Cl2: simulated X-ray powder pattern (a wavelength of 1.5418 Å), based on DFT lattice parameters and positions (GGA-PBE).

The 10 most intense peaks (10 to 90 degrees two-theta), sorted by position:
Position (°2θ), d (Å), Rel. int.
16.79, 5.281, 16
24.36, 3.654, 27
27.35, 3.261, 17
29.96, 2.982, 27
31.76, 2.818, 100
33.16, 2.701, 70
45.29, 2.002, 17
47.60, 1.910, 25
55.66, 1.651, 14
58.36, 1.581, 36

```
La2Pr4Pb3Cl2
1.0
-2.7015 2.7015 12.5186
2.7015 -2.7015 12.5186
2.7015 2.7015 -12.5186
La Pr Pb Cl
2 4 3 2
Direct
0.1966 0.1966 0.0000 La
0.8034 0.8034 0.0000 La
0.0866 0.5866 0.5000 Pr
0.4134 0.9134 0.5000 Pr
0.5866 0.0866 0.5000 Pr
0.9134 0.4134 0.5000 Pr
0.3280 0.3280 0.0000 Pb
0.5000 0.5000 0.0000 Pb
0.6720 0.6720 0.0000 Pb
0.0702 0.0702 0.0000 Cl
0.9298 0.9298 0.0000 Cl
```

=====

RbLaPb2Cl8: simulated X-ray powder pattern (a wavelength of 1.5418 Å), based on DFT lattice parameters and positions (GGA-PBE).

The 10 most intense peaks (10 to 90 degrees two-theta), sorted by position:
Position (°2θ), d (Å), Rel. int.
18.21, 4.872, 100
18.48, 4.802, 92
23.29, 3.820, 59
23.55, 3.777, 92
26.75, 3.332, 32
34.89, 2.571, 42
35.18, 2.551, 36
35.44, 2.533, 54
35.73, 2.513, 51
43.74, 2.070, 58

```
RbLaPb2Cl8
1.0
6.7192 0.0000 0.0000
0.0000 9.1357 0.0000
-0.1005 0.0000 6.9676
Rb La Pb Cl
1 1 2 8
Direct
0.0000 0.0000 0.0000 Rb
0.0000 0.5000 0.0000 La
0.5000 0.2461 0.5000 Pb
0.5000 0.7539 0.5000 Pb
0.2368 0.2815 0.1658 Cl
0.2368 0.7185 0.1658 Cl
0.2574 0.5000 0.6799 Cl
0.2809 0.0000 0.6305 Cl
0.7191 0.0000 0.3695 Cl
0.7426 0.5000 0.3201 Cl
0.7632 0.2815 0.8342 Cl
0.7632 0.7185 0.8342 Cl
```

=====

LaPdCl6: simulated X-ray powder pattern (a wavelength of 1.5418 Å), based on DFT lattice parameters and positions (GGA-PBE).

The 10 most intense peaks (10 to 90 degrees two-theta), sorted by position:
Position (°2θ), d (Å), Rel. int.
18.04, 4.918, 100
18.82, 4.715, 96
18.93, 4.689, 92
24.42, 3.646, 50
25.73, 3.463, 44
25.87, 3.444, 38
32.20, 2.780, 32
39.02, 2.308, 33
41.66, 2.168, 29
42.11, 2.146, 25

```
LaPdCl6
1.0
6.3863 0.0000 0.0000
2.8654 5.7474 0.0000
3.1890 -1.5651 5.9999
La Pd Cl
1 1 6
Direct
0.0000 0.0000 0.0000 La
0.0000 0.5000 0.5000 Pd
0.1553 0.5619 0.7320 Cl
0.1776 0.7193 0.2701 Cl
0.4699 0.1067 0.2586 Cl
0.5301 0.8933 0.7414 Cl
0.8224 0.2807 0.7299 Cl
0.8447 0.4381 0.2680 Cl
```